Diffraction record for Tb2P4Ir. The PXRD pattern is calculated, not measured: it uses a DFT-relaxed cell (GGA-PBE, OQMD) and λ = 1.5418 Å (Cu Kα).
No peak broadening, texture or thermal motion is included.

The 10 most intense peaks (10° ≤ 2θ ≤ 80°), sorted by position:
13.82°, I = 859, (1 1 0)
26.44°, I = 188, (1 1 1)
27.88°, I = 1000, (2 2 0)
31.88°, I = 816, (2 0 1)
33.14°, I = 405, (0 4 0)
45.79°, I = 164, (0 0 2)
46.64°, I = 559, (2 4 1)
54.33°, I = 233, (4 2 -1)
54.44°, I = 178, (2 2 -2)
57.68°, I = 164, (0 4 2)

Structure:
Unit cell a=7.954 b=10.814 c=3.963 alpha=90.00 beta=90.12 gamma=90.00
Space group C2/m (No. 12)
One atom of each set of equivalent atoms:
Tb 0.250 0.250 0.000 (multiplicity 4)
P 0.000 0.241 0.500 (multiplicity 4)
P 0.166 0.000 0.001 (multiplicity 4)
Ir 0.000 0.000 0.500 (multiplicity 2)